[1]
Ta2Zn2WO8: simulated X-ray powder pattern (Cu Kα (weighted mean of Kα1 and Kα2)), based on a structure optimized by DFT (GGA+U).

Cell and atoms:
```
Ta2Zn2WO8
1.0
5.347 0.000 0.000
-0.125 5.975 0.000
-0.164 -2.690 9.882
Ta Zn W O
4 4 2 16
Direct
0.000 0.000 0.000 Ta
0.016 0.743 0.538 Ta
0.443 0.253 0.012 Ta
0.517 0.051 0.532 Ta
0.016 0.150 0.323 Zn
0.466 0.856 0.177 Zn
0.509 0.457 0.336 Zn
0.956 0.580 0.199 Zn
0.006 0.356 0.777 W
0.517 0.652 0.773 W
0.097 0.863 0.163 O
0.158 0.302 0.149 O
0.160 0.573 0.654 O
0.193 0.054 0.636 O
0.325 0.742 0.429 O
0.334 0.925 0.906 O
0.355 0.440 0.892 O
0.383 0.188 0.395 O
0.592 0.551 0.165 O
0.665 0.323 0.654 O
0.667 0.089 0.127 O
0.694 0.828 0.633 O
0.803 0.182 0.907 O
0.827 0.956 0.426 O
0.860 0.684 0.888 O
0.884 0.479 0.391 O
```

Top 10 peaks for 15° ≤ 2θ ≤ 90°, by angle:
26.36 deg, rel. 85.9
26.67 deg, rel. 76.5
27.43 deg, rel. 63.5
31.13 deg, rel. 64.4
32.00 deg, rel. 73.2
32.33 deg, rel. 76.4
33.53 deg, rel. 100.0
34.09 deg, rel. 87.0
34.70 deg, rel. 83.7
49.69 deg, rel. 57.1

---

[2]
Ba2MgCo2CuF14: simulated X-ray powder pattern (Cu Kα (weighted mean of Kα1 and Kα2)), based on a structure optimized by DFT (GGA+U).

Cell and atoms:
```
Ba2MgCo2CuF14
1.0
7.009 -2.603 0.000
7.009 2.603 0.000
-0.495 0.000 14.415
Ba Mg Co Cu F
4 2 4 2 28
Direct
0.117 0.257 0.122 Ba
0.257 0.117 0.622 Ba
0.743 0.883 0.378 Ba
0.883 0.743 0.878 Ba
0.437 0.563 0.250 Mg
0.563 0.437 0.750 Mg
0.107 0.130 0.373 Co
0.130 0.107 0.873 Co
0.870 0.893 0.127 Co
0.893 0.870 0.627 Co
0.500 0.500 0.000 Cu
0.500 0.500 0.500 Cu
0.040 0.639 0.223 F
0.097 0.897 0.340 F
0.103 0.903 0.160 F
0.117 0.720 0.522 F
0.135 0.593 0.048 F
0.151 0.338 0.403 F
0.187 0.596 0.709 F
0.280 0.883 0.978 F
0.338 0.151 0.903 F
0.361 0.960 0.277 F
0.395 0.496 0.877 F
0.404 0.813 0.791 F
0.407 0.865 0.452 F
0.496 0.395 0.377 F
0.504 0.605 0.623 F
0.593 0.135 0.548 F
0.596 0.187 0.209 F
0.605 0.504 0.123 F
0.639 0.040 0.723 F
0.662 0.849 0.097 F
0.720 0.117 0.022 F
0.813 0.404 0.291 F
0.849 0.662 0.597 F
0.865 0.407 0.952 F
0.883 0.280 0.478 F
0.897 0.097 0.840 F
0.903 0.103 0.660 F
0.960 0.361 0.777 F
```

Top 10 peaks for 15° ≤ 2θ ≤ 90°, by angle:
24.71 deg, rel. 30.6
25.63 deg, rel. 100.0
27.44 deg, rel. 20.7
28.22 deg, rel. 43.6
28.74 deg, rel. 28.6
30.66 deg, rel. 27.5
31.03 deg, rel. 26.5
40.14 deg, rel. 33.0
41.71 deg, rel. 20.8
50.91 deg, rel. 24.6